Entry 1:
Li4Mn3Co3Cu2O16: calculated powder XRD pattern (Cu Kα X-rays), based on a crystal structure in the Materials Project, relaxed with GGA+U.

Crystal structure
```
data_Li4Mn3Co3Cu2O16
_symmetry_space_group_name_H-M 'C 1 m 1'
_symmetry_Int_Tables_number 8
_symmetry_space_group_name_Hall 'C -2y'
_cell_length_a 9.944
_cell_length_b 5.738
_cell_length_c 9.550
_cell_angle_alpha 90.00
_cell_angle_beta 90.15
_cell_angle_gamma 90.00
loop_
_atom_site_label
_atom_site_type_symbol
_atom_site_fract_x
_atom_site_fract_y
_atom_site_fract_z
Li1 Li 0.000 0.000 0.000
Li2 Li 0.001 0.000 0.504
Li3 Li 0.174 0.500 0.901
Li4 Li 0.340 0.000 0.406
Mn1 Mn 0.090 0.254 0.222
Mn2 Mn 0.175 0.000 0.720
Co1 Co 0.337 0.500 0.218
Co2 Co 0.421 0.246 0.719
Cu1 Cu 0.173 0.500 0.503
Cu2 Cu 0.338 0.000 0.990
O1 O 0.004 0.000 0.318
O2 O 0.005 0.000 0.815
O3 O 0.023 0.500 0.339
O4 O 0.085 0.240 0.609
O5 O 0.164 0.000 0.111
O6 O 0.171 0.500 0.114
O7 O 0.249 0.280 0.338
O8 O 0.267 0.223 0.840
O9 O 0.338 0.000 0.615
O10 O 0.346 0.500 0.614
O11 O 0.422 0.260 0.114
O12 O 0.489 0.000 0.831
```

Peak list (6 most intense, 10 to 80 degrees two-theta, low angle first)
h k l  d/Å  Position (°2θ)  Rel. int.
0 0 2  4.775  18.58  618
2 0 1  4.409  20.14  1000
2 0 -3  2.681  33.43  403
3 1 -2  2.460  36.53  598
4 0 1  2.405  37.39  505
6 2 0  1.435  64.99  374

Entry 2:
Li7Mn8B8O24: calculated powder XRD pattern (Cu Kα X-rays), based on a crystal structure in the Materials Project, relaxed with GGA+U.

Crystal structure
```
data_Li7Mn8B8O24
_symmetry_space_group_name_H-M 'P 1'
_symmetry_Int_Tables_number 1
_symmetry_space_group_name_Hall 'P 1'
_cell_length_a 5.243
_cell_length_b 9.129
_cell_length_c 11.545
_cell_angle_alpha 68.90
_cell_angle_beta 77.67
_cell_angle_gamma 89.30
loop_
_atom_site_label
_atom_site_type_symbol
_atom_site_fract_x
_atom_site_fract_y
_atom_site_fract_z
Li1 Li 0.000 0.000 0.000
Li2 Li 0.023 0.043 0.251
Li3 Li 0.248 0.297 0.736
Li4 Li 0.486 0.492 0.016
Li5 Li 0.526 0.545 0.255
Li6 Li 0.705 0.763 0.506
Li7 Li 0.757 0.789 0.759
Mn1 Mn 0.001 0.695 0.290
Mn2 Mn 0.198 0.919 0.536
Mn3 Mn 0.256 0.610 0.784
Mn4 Mn 0.466 0.816 0.041
Mn5 Mn 0.497 0.202 0.296
Mn6 Mn 0.712 0.405 0.531
Mn7 Mn 0.725 0.109 0.793
Mn8 Mn 0.975 0.321 0.035
B1 B 0.005 0.370 0.282
B2 B 0.201 0.575 0.542
B3 B 0.242 0.942 0.795
B4 B 0.465 0.151 0.037
B5 B 0.494 0.868 0.294
B6 B 0.677 0.057 0.559
B7 B 0.757 0.438 0.797
B8 B 0.964 0.649 0.042
O1 O 0.004 0.407 0.824
O2 O 0.060 0.769 0.074
O3 O 0.114 0.070 0.809
O4 O 0.133 0.839 0.753
O5 O 0.134 0.552 0.999
O6 O 0.198 0.123 0.057
O7 O 0.267 0.391 0.272
O8 O 0.315 0.436 0.555
O9 O 0.320 0.690 0.573
O10 O 0.323 0.974 0.325
O11 O 0.407 0.760 0.248
O12 O 0.475 0.099 0.498
O13 O 0.490 0.913 0.828
O14 O 0.571 0.264 0.069
O15 O 0.632 0.333 0.759
O16 O 0.635 0.055 0.985
O17 O 0.635 0.567 0.810
O18 O 0.697 0.628 0.057
O19 O 0.748 0.869 0.310
O20 O 0.763 0.162 0.610
O21 O 0.794 0.917 0.572
O22 O 0.829 0.467 0.325
O23 O 0.905 0.253 0.247
O24 O 0.964 0.605 0.502
```

Peak list (6 most intense, 10 to 80 degrees two-theta, low angle first)
h k l  d/Å  Position (°2θ)  Rel. int.
1 -1 0  4.522  19.63  523
1 1 2  4.126  21.54  639
0 2 -1  3.514  25.35  502
0 0 4  2.624  34.17  1000
2 0 1  2.619  34.24  631
0 4 1  2.248  40.10  490

Entry 3:
Li4V3FeO8: calculated powder XRD pattern (Cu Kα X-rays), based on a crystal structure in the Materials Project, relaxed with GGA+U.

Crystal structure
```
data_Li4V3FeO8
_symmetry_space_group_name_H-M 'R -3 m'
_symmetry_Int_Tables_number 166
_symmetry_space_group_name_Hall '-R 3 2"'
_cell_length_a 5.9917
_cell_length_b 5.9917
_cell_length_c 14.6740
_cell_angle_alpha 90.00
_cell_angle_beta 90.00
_cell_angle_gamma 120.00
loop_
_atom_site_label
_atom_site_type_symbol
_atom_site_fract_x
_atom_site_fract_y
_atom_site_fract_z
Li1 Li 0.0000 0.0000 0.0000
Li2 Li 0.0000 0.5000 0.0000
V1 V 0.0000 0.5000 0.5000
Fe1 Fe 0.0000 0.0000 0.5000
O1 O 0.0000 0.0000 0.2397
O2 O 0.0014 0.5007 0.2455
```

Peak list (6 most intense, 10 to 80 degrees two-theta, low angle first)
h k l  d/Å  Position (°2θ)  Rel. int.
0 0 3  4.891  18.14  1000
0 2 1  2.555  35.12  436
0 2 4  2.118  42.68  899
2 0 5  1.944  46.73  148
0 2 7  1.631  56.43  159
2 2 0  1.498  61.95  488

Entry 4:
Li4Mn3Fe5O16: calculated powder XRD pattern (Cu Kα X-rays), based on a crystal structure in the Materials Project, relaxed with GGA+U.

Crystal structure
```
data_Li4Mn3Fe5O16
_symmetry_space_group_name_H-M 'C 1 m 1'
_symmetry_Int_Tables_number 8
_symmetry_space_group_name_Hall 'C -2y'
_cell_length_a 10.138
_cell_length_b 5.850
_cell_length_c 9.540
_cell_angle_alpha 90.00
_cell_angle_beta 90.19
_cell_angle_gamma 90.00
loop_
_atom_site_label
_atom_site_type_symbol
_atom_site_fract_x
_atom_site_fract_y
_atom_site_fract_z
Li1 Li 0.000 0.000 0.000
Li2 Li 0.002 0.000 0.499
Li3 Li 0.167 0.500 0.895
Li4 Li 0.331 0.000 0.394
Mn1 Mn 0.085 0.253 0.217
Mn2 Mn 0.171 0.000 0.717
Fe1 Fe 0.170 0.500 0.491
Fe2 Fe 0.331 0.500 0.216
Fe3 Fe 0.337 0.000 0.995
Fe4 Fe 0.417 0.245 0.717
O1 O 0.004 0.000 0.312
O2 O 0.007 0.000 0.814
O3 O 0.019 0.500 0.337
O4 O 0.087 0.242 0.603
O5 O 0.162 0.000 0.106
O6 O 0.163 0.500 0.111
O7 O 0.239 0.278 0.336
O8 O 0.255 0.219 0.841
O9 O 0.329 0.000 0.605
O10 O 0.338 0.500 0.601
O11 O 0.421 0.258 0.106
O12 O 0.483 0.000 0.844
```

Peak list (6 most intense, 10 to 80 degrees two-theta, low angle first)
h k l  d/Å  Position (°2θ)  Rel. int.
0 0 2  4.770  18.60  660
1 1 -1  4.475  19.84  1000
2 0 -2  3.474  25.65  326
3 1 2  2.494  36.01  561
4 0 1  2.449  36.70  538
6 2 0  1.463  63.61  408